For Th2MgSc4, a DFT-relaxed cell (GGA-PBE, Alexandria) gives the computed powder XRD pattern in this record (Cu Kα X-rays).

Most intense lines, 10° ≤ 2θ ≤ 80°, low angle first:
| Position (°2θ) | d [Å] | Rel. int. |
| --- | --- | --- |
| 11.2 | 7.908 | 64 |
| 17.6 | 5.032 | 17 |
| 22.5 | 3.954 | 21 |
| 28.6 | 3.120 | 46 |
| 32.9 | 2.724 | 100 |
| 34.0 | 2.636 | 18 |
| 40.1 | 2.250 | 17 |
| 40.2 | 2.244 | 18 |
| 56.1 | 1.640 | 16 |
| 60.1 | 1.538 | 17 |

```
Th2MgSc4
1.0
-3.5579 3.5579 7.9084
3.5579 -3.5579 7.9084
3.5579 3.5579 -7.9084
Th Mg Sc
4 2 8
Cartesian
4.6460 1.0881 0.0000 Th
1.0881 2.4698 0.0000 Th
2.4698 1.0881 7.9084 Th
-1.0881 2.4698 7.9084 Th
0.0000 0.0000 3.9542 Mg
0.0000 0.0000 11.8626 Mg
4.6264 -1.0685 2.6736 Sc
2.4895 -1.0685 5.2348 Sc
2.4895 1.0685 2.6736 Sc
4.6264 1.0685 5.2348 Sc
-1.0685 2.4895 2.6736 Sc
1.0685 2.4895 5.2348 Sc
1.0685 4.6264 2.6736 Sc
-1.0685 4.6264 5.2348 Sc
```